No. 1
Structure and simulated X-ray powder pattern of K3NbHOF7 (the PBE geometry in the Materials Project; Cu Kα X-rays).
Kinematic intensities with the Lorentz-polarization factor, no thermal factor.

Top 10 peaks for 5° ≤ 2θ ≤ 70°, in order of rising 2θ:
hkl 1 1 -1, d = 5.271 Å, 16.82°, I = 67; hkl 0 2 1, d = 5.003 Å, 17.73°, I = 62; hkl 1 3 0, d = 4.213 Å, 21.09°, I = 62; hkl 0 0 2, d = 3.495 Å, 25.49°, I = 69; hkl 2 2 -1, d = 3.397 Å, 26.23°, I = 100; hkl 2 2 1, d = 3.246 Å, 27.47°, I = 80; hkl 0 4 1, d = 3.195 Å, 27.93°, I = 74; hkl 4 0 0, d = 2.216 Å, 40.71°, I = 36; hkl 2 6 0, d = 2.107 Å, 42.93°, I = 42; hkl 2 2 -3, d = 2.032 Å, 44.59°, I = 37

Atomic structure:
```
data_K3NbHOF7
_cell_length_a 8.883
_cell_length_b 14.367
_cell_length_c 7.004
_cell_angle_alpha 90.00
_cell_angle_beta 93.65
_cell_angle_gamma 90.00
_symmetry_space_group_name_H-M 'C 1 2/c 1'
_symmetry_Int_Tables_number 15
loop_
_symmetry_equiv_pos_as_xyz
'x,y,z'
'-x,-y,-z'
'-x,y,-z+1/2'
'x,-y,z+1/2'
'x+1/2,y+1/2,z'
'-x+1/2,-y+1/2,-z'
'-x+1/2,y+1/2,-z+1/2'
'x+1/2,-y+1/2,z+1/2'
loop_
_atom_site_label
_atom_site_fract_x
_atom_site_fract_y
_atom_site_fract_z
_atom_site_occupancy
K1 0.000 0.159 0.250 1
K2 0.229 0.404 0.214 1
Nb1 0.000 0.334 0.750 1
H1 0.000 0.000 0.000 1
O1 0.000 0.459 0.750 1
F1 0.000 0.187 0.750 1
F2 0.048 0.318 0.476 1
F3 0.120 0.026 0.479 1
F4 0.217 0.318 0.835 1
```

=====

No. 2
Structure and simulated X-ray powder pattern of KH8O4F (the PBE geometry in the Materials Project; Cu Kα X-rays).
Kinematic intensities with the Lorentz-polarization factor, no thermal factor.

Top 10 peaks for 5° ≤ 2θ ≤ 70°, in order of rising 2θ:
hkl 0 4 0, d = 3.328 Å, 26.79°, I = 100; hkl 2 1 0, d = 3.307 Å, 26.97°, I = 47; hkl 2 2 0, d = 3.038 Å, 29.40°, I = 24; hkl 0 4 1, d = 2.977 Å, 30.02°, I = 56; hkl 1 1 2, d = 2.903 Å, 30.80°, I = 31; hkl 2 2 -1, d = 2.776 Å, 32.24°, I = 26; hkl 0 4 2, d = 2.353 Å, 38.24°, I = 26; hkl 3 1 1, d = 2.117 Å, 42.72°, I = 20; hkl 2 5 0, d = 2.100 Å, 43.08°, I = 22; hkl 1 2 -3, d = 2.017 Å, 44.95°, I = 40

Atomic structure:
```
data_KH8O4F
_cell_length_a 6.827
_cell_length_b 13.318
_cell_length_c 6.655
_cell_angle_alpha 90.00
_cell_angle_beta 90.80
_cell_angle_gamma 90.00
_symmetry_space_group_name_H-M 'P 1 21/c 1'
_symmetry_Int_Tables_number 14
loop_
_symmetry_equiv_pos_as_xyz
'x,y,z'
'-x,-y,-z'
'-x,y+1/2,-z+1/2'
'x,-y+1/2,z+1/2'
loop_
_atom_site_label
_atom_site_fract_x
_atom_site_fract_y
_atom_site_fract_z
_atom_site_occupancy
K1 0.161 0.130 0.498 1
H1 0.092 0.663 0.443 1
H2 0.126 0.130 0.019 1
H3 0.245 0.587 0.754 1
H4 0.302 0.608 0.978 1
H5 0.312 0.509 0.415 1
H6 0.416 0.746 0.598 1
H7 0.431 0.091 0.902 1
H8 0.433 0.669 0.264 1
O1 0.045 0.176 0.101 1
O2 0.209 0.570 0.892 1
O3 0.300 0.061 0.872 1
O4 0.467 0.685 0.124 1
F1 0.344 0.632 0.511 1
```

=====

No. 3
Structure and simulated X-ray powder pattern of KPH3O3F (the PBE geometry in the Materials Project; Cu Kα X-rays).
Kinematic intensities with the Lorentz-polarization factor, no thermal factor.

Top 10 peaks for 5° ≤ 2θ ≤ 70°, in order of rising 2θ:
hkl 0 2 1, d = 4.192 Å, 21.19°, I = 96; hkl 1 0 -2, d = 3.960 Å, 22.45°, I = 54; hkl 1 2 0, d = 3.836 Å, 23.19°, I = 100; hkl 0 3 1, d = 3.183 Å, 28.03°, I = 61; hkl 2 1 -1, d = 3.081 Å, 28.98°, I = 46; hkl 1 3 0, d = 3.019 Å, 29.59°, I = 47; hkl 2 1 -2, d = 3.001 Å, 29.77°, I = 88; hkl 0 2 2, d = 2.801 Å, 31.95°, I = 76; hkl 1 4 -1, d = 2.506 Å, 35.83°, I = 78; hkl 1 0 2, d = 2.273 Å, 39.65°, I = 40

Atomic structure:
```
data_KPH3O3F
_cell_length_a 6.537
_cell_length_b 10.946
_cell_length_c 7.928
_cell_angle_alpha 90.00
_cell_angle_beta 124.66
_cell_angle_gamma 90.00
_symmetry_space_group_name_H-M 'P 1 21/c 1'
_symmetry_Int_Tables_number 14
loop_
_symmetry_equiv_pos_as_xyz
'x,y,z'
'-x,-y,-z'
'-x,y+1/2,-z+1/2'
'x,-y+1/2,z+1/2'
loop_
_atom_site_label
_atom_site_fract_x
_atom_site_fract_y
_atom_site_fract_z
_atom_site_occupancy
K1 0.065 0.179 0.450 1
P1 0.404 0.047 0.206 1
H1 0.283 0.040 0.879 1
H2 0.285 0.553 0.727 1
H3 0.410 0.721 0.051 1
O1 0.235 0.080 0.969 1
O2 0.334 0.510 0.222 1
O3 0.384 0.156 0.319 1
F1 0.249 0.727 0.451 1
```

=====

No. 4
Structure and simulated X-ray powder pattern of KPH3O4F (the PBE geometry in the Materials Project; Cu Kα X-rays).
Kinematic intensities with the Lorentz-polarization factor, no thermal factor.

Top 10 peaks for 5° ≤ 2θ ≤ 70°, in order of rising 2θ:
hkl 1 0 0, d = 6.614 Å, 13.39°, I = 20; hkl 1 0 -2, d = 4.230 Å, 21.00°, I = 71; hkl 0 2 0, d = 3.859 Å, 23.05°, I = 33; hkl 1 2 0, d = 3.333 Å, 26.75°, I = 22; hkl 1 1 2, d = 3.211 Å, 27.78°, I = 72; hkl 2 1 0, d = 3.040 Å, 29.39°, I = 100; hkl 1 2 -2, d = 2.851 Å, 31.38°, I = 66; hkl 3 1 -2, d = 2.079 Å, 43.52°, I = 24; hkl 2 3 0, d = 2.030 Å, 44.63°, I = 23; hkl 0 3 3, d = 1.989 Å, 45.61°, I = 22

Atomic structure:
```
data_KPH3O4F
_cell_length_a 6.735
_cell_length_b 7.717
_cell_length_c 9.582
_cell_angle_alpha 90.00
_cell_angle_beta 100.91
_cell_angle_gamma 90.00
_symmetry_space_group_name_H-M 'P 1 21/c 1'
_symmetry_Int_Tables_number 14
loop_
_symmetry_equiv_pos_as_xyz
'x,y,z'
'-x,-y,-z'
'-x,y+1/2,-z+1/2'
'x,-y+1/2,z+1/2'
loop_
_atom_site_label
_atom_site_fract_x
_atom_site_fract_y
_atom_site_fract_z
_atom_site_occupancy
K1 0.159 0.223 0.043 1
P1 0.383 0.701 0.172 1
H1 0.112 0.527 0.240 1
H2 0.370 0.688 0.461 1
H3 0.407 0.521 0.835 1
O1 0.206 0.573 0.137 1
O2 0.357 0.645 0.560 1
O3 0.407 0.718 0.819 1
O4 0.412 0.112 0.348 1
F1 0.035 0.018 0.820 1
```